1.
Calculated powder XRD pattern
Compound: KReAg
Radiation: Cu Kα, 1.54184 Å
Structure: DFT lattice parameters and positions (PBE)

Lattice parameters (Å, degrees): 8.6617 8.5283 2.7521 83.54 78.06 18.40
Fractional positions:
K  0.0000  0.0000  0.0000
Re  0.6736  0.6736  0.3264
Ag  0.3165  0.3165  0.6835

Largest 12 diffraction maxima, sorted by position, 2θ from 10° to 80°:
- 10.6°, d 8.372, I 100
- 32.1°, d 2.791, I 32
- 34.6°, d 2.591, I 13
- 37.9°, d 2.374, I 92
- 40.6°, d 2.221, I 20
- 42.1°, d 2.147, I 8
- 43.2°, d 2.093, I 8
- 43.8°, d 2.065, I 22
- 52.7°, d 1.738, I 15
- 61.1°, d 1.517, I 15
- 71.7°, d 1.317, I 8
- 72.1°, d 1.310, I 13


2.
Calculated powder XRD pattern
Compound: Mn2VH4
Radiation: Cu Kα, 1.54184 Å
Structure: DFT lattice parameters and positions (PBE)

Lattice parameters (Å, degrees): 5.2060 5.2060 5.2060 60.00 60.00 60.00
Fractional positions:
Mn  0.0000  0.0000  0.0000
Mn  0.0000  0.0000  0.5000
Mn  0.0000  0.5000  0.0000
Mn  0.5000  0.0000  0.0000
V  0.3750  0.3750  0.3750
V  0.6250  0.6250  0.6250
H  0.1988  0.7671  0.7671
H  0.2329  0.2329  0.2329
H  0.2329  0.2329  0.8012
H  0.2329  0.8012  0.2329
H  0.7671  0.1988  0.7671
H  0.7671  0.7671  0.1988
H  0.7671  0.7671  0.7671
H  0.8012  0.2329  0.2329

Largest 10 diffraction maxima, sorted by position, 2θ from 10° to 80°:
- 20.9°, d 4.251, I 11
- 34.5°, d 2.603, I 25
- 40.6°, d 2.220, I 100
- 42.5°, d 2.125, I 40
- 49.5°, d 1.841, I 7
- 54.3°, d 1.689, I 2
- 61.7°, d 1.503, I 8
- 65.9°, d 1.417, I 28
- 72.6°, d 1.302, I 25
- 76.6°, d 1.244, I 1


3.
Calculated powder XRD pattern
Compound: Cs3PuF8
Radiation: Cu Kα, 1.54184 Å
Structure: DFT lattice parameters and positions (PBE)

Lattice parameters (Å, degrees): 7.6706 7.6706 7.6706 128.62 128.62 75.62
Fractional positions:
Cs  0.0000  0.0000  0.0000
Cs  0.2500  0.7500  0.5000
Cs  0.7500  0.2500  0.5000
Pu  0.5000  0.5000  0.0000
F  0.2037  0.2037  0.6144
F  0.2037  0.5871  0.0000
F  0.4107  0.7963  0.0000
F  0.4129  0.4129  0.6166
F  0.5871  0.2037  0.0000
F  0.5893  0.5893  0.3856
F  0.7963  0.4107  0.0000
F  0.7963  0.7963  0.3834

Largest 12 diffraction maxima, sorted by position, 2θ from 10° to 80°:
- 15.2°, d 5.830, I 16
- 24.0°, d 3.715, I 100
- 26.8°, d 3.325, I 24
- 29.5°, d 3.030, I 9
- 38.3°, d 2.351, I 19
- 40.3°, d 2.240, I 34
- 45.7°, d 1.987, I 34
- 49.1°, d 1.857, I 25
- 61.1°, d 1.518, I 8
- 63.9°, d 1.457, I 20
- 70.5°, d 1.335, I 10
- 74.4°, d 1.275, I 9


4.
Calculated powder XRD pattern
Compound: Pr6HoEr
Radiation: Cu Kα, 1.54184 Å
Structure: DFT lattice parameters and positions (PBE)

Lattice parameters (Å, degrees): 8.9594 8.2121 6.3357 74.79 62.19 43.03
Fractional positions:
Pr  0.1226  0.1226  0.3774
Pr  0.2501  0.2501  0.7499
Pr  0.3774  0.3774  0.1226
Pr  0.6226  0.6226  0.8774
Pr  0.7499  0.7499  0.2501
Pr  0.8774  0.8774  0.6226
Ho  0.0000  0.0000  0.0000
Er  0.5000  0.5000  0.5000

Largest 12 diffraction maxima, sorted by position, 2θ from 10° to 80°:
- 29.8°, d 3.002, I 100
- 29.9°, d 2.986, I 98
- 34.5°, d 2.603, I 68
- 34.9°, d 2.573, I 33
- 49.3°, d 1.848, I 12
- 49.7°, d 1.833, I 12
- 49.8°, d 1.830, I 48
- 58.8°, d 1.571, I 29
- 59.0°, d 1.565, I 29
- 59.4°, d 1.555, I 28
- 61.8°, d 1.501, I 13
- 62.2°, d 1.493, I 12


5.
Calculated powder XRD pattern
Compound: Ce3Al2Zn7
Radiation: Cu Kα, 1.54184 Å
Structure: DFT lattice parameters and positions (PBE)

Lattice parameters (Å, degrees): 14.4906 14.4906 14.4906 163.29 163.29 23.72
Fractional positions:
Ce  0.0000  0.0000  0.0000
Ce  0.1682  0.1682  0.0000
Ce  0.8318  0.8318  0.0000
Al  0.3659  0.3659  0.0000
Al  0.6341  0.6341  0.0000
Zn  0.0798  0.5798  0.5000
Zn  0.2751  0.2751  0.0000
Zn  0.4202  0.9202  0.5000
Zn  0.5000  0.5000  0.0000
Zn  0.5798  0.0798  0.5000
Zn  0.7249  0.7249  0.0000
Zn  0.9202  0.4202  0.5000

Largest 12 diffraction maxima, sorted by position, 2θ from 10° to 80°:
- 30.0°, d 2.979, I 20
- 30.6°, d 2.918, I 29
- 32.6°, d 2.746, I 14
- 35.6°, d 2.521, I 100
- 38.1°, d 2.364, I 15
- 39.5°, d 2.281, I 13
- 41.0°, d 2.199, I 19
- 42.9°, d 2.106, I 44
- 58.7°, d 1.572, I 17
- 62.3°, d 1.489, I 14
- 67.2°, d 1.393, I 17
- 73.9°, d 1.282, I 20


6.
Calculated powder XRD pattern
Compound: Rb2VGaW
Radiation: Cu Kα, 1.54184 Å
Structure: DFT lattice parameters and positions (PBE)

Lattice parameters (Å, degrees): 6.5435 6.5435 5.0353 90.00 90.00 90.00
Fractional positions:
Rb  0.0000  0.5000  0.0000
Rb  0.5000  0.0000  0.0000
V  0.0000  0.0000  0.0000
Ga  0.0000  0.0000  0.5000
W  0.5000  0.5000  0.5000

Largest 12 diffraction maxima, sorted by position, 2θ from 10° to 80°:
- 19.2°, d 4.627, I 13
- 22.3°, d 3.991, I 26
- 26.2°, d 3.407, I 100
- 27.3°, d 3.272, I 73
- 35.5°, d 2.530, I 16
- 35.7°, d 2.518, I 18
- 38.9°, d 2.313, I 28
- 45.5°, d 1.995, I 36
- 47.5°, d 1.914, I 40
- 53.8°, d 1.703, I 22
- 63.6°, d 1.463, I 13
- 75.1°, d 1.265, I 16


7.
Calculated powder XRD pattern
Compound: MgZn5Au3
Radiation: Cu Kα, 1.54184 Å
Structure: DFT lattice parameters and positions (PBE)

Lattice parameters (Å, degrees): 6.5498 6.5498 9.3398 96.73 96.73 68.95
Fractional positions:
Mg  0.1333  0.1333  0.2753
Mg  0.8667  0.8667  0.7247
Zn  0.0155  0.6245  0.3677
Zn  0.2378  0.2378  0.0132
Zn  0.3328  0.6672  0.0000
Zn  0.3755  0.9845  0.6323
Zn  0.3847  0.3847  0.5301
Zn  0.6153  0.6153  0.4699
Zn  0.6245  0.0155  0.3677
Zn  0.6672  0.3328  0.0000
Zn  0.7622  0.7622  0.9868
Zn  0.9845  0.3755  0.6323
Au  0.0000  0.0000  0.0000
Au  0.0000  0.0000  0.5000
Au  0.3489  0.3489  0.7930
Au  0.3940  0.3940  0.2546
Au  0.6060  0.6060  0.7454
Au  0.6511  0.6511  0.2070

Largest 12 diffraction maxima, sorted by position, 2θ from 10° to 80°:
- 23.2°, d 3.835, I 62
- 23.6°, d 3.772, I 47
- 24.0°, d 3.708, I 100
- 25.1°, d 3.547, I 66
- 27.8°, d 3.211, I 56
- 37.8°, d 2.381, I 35
- 41.4°, d 2.181, I 61
- 42.9°, d 2.108, I 59
- 44.0°, d 2.056, I 68
- 44.6°, d 2.031, I 46
- 46.3°, d 1.961, I 46
- 48.4°, d 1.880, I 25


8.
Calculated powder XRD pattern
Compound: U3Se5
Radiation: Cu Kα, 1.54184 Å
Structure: DFT lattice parameters and positions (PBE)

Lattice parameters (Å, degrees): 8.4612 8.4612 7.7564 95.31 95.31 133.35
Fractional positions:
U  0.1566  0.8434  0.0000
U  0.2470  0.7530  0.5000
U  0.4392  0.4392  0.6935
U  0.5608  0.5608  0.3065
U  0.7530  0.2470  0.5000
U  0.8434  0.1566  0.0000
Se  0.1167  0.3309  0.3762
Se  0.1369  0.5130  0.7996
Se  0.2383  0.2383  0.9801
Se  0.3309  0.1167  0.3762
Se  0.4870  0.8631  0.2004
Se  0.5130  0.1369  0.7996
Se  0.6691  0.8833  0.6238
Se  0.7617  0.7617  0.0199
Se  0.8631  0.4870  0.2004
Se  0.8833  0.6691  0.6238

Largest 12 diffraction maxima, sorted by position, 2θ from 10° to 80°:
- 20.8°, d 4.272, I 32
- 21.9°, d 4.054, I 78
- 26.3°, d 3.392, I 34
- 30.6°, d 2.923, I 46
- 33.9°, d 2.644, I 100
- 35.2°, d 2.547, I 30
- 35.8°, d 2.508, I 45
- 36.7°, d 2.449, I 43
- 37.6°, d 2.392, I 38
- 39.3°, d 2.291, I 39
- 40.0°, d 2.252, I 63
- 66.5°, d 1.406, I 41